# 1
Structure and computed X-ray diffraction stick pattern of GePb6 (a cell relaxed with GGA-PBE; Cu Kα X-rays).
Intensities are scaled so that the largest is 100.

Largest 10 diffraction maxima, by angle, 10 to 80 degrees two-theta:
Position (°2θ)	d [Å]	I/Imax
14.6	6.065	82.3
20.7	4.289	40.7
25.4	3.502	100.0
33.0	2.712	24.6
36.3	2.476	76.5
39.3	2.292	65.3
42.1	2.144	48.8
61.1	1.516	33.2
67.3	1.391	20.6
73.2	1.293	31.5

Structural model:
```
GePb6
1.0
-4.289 4.289 4.289
4.289 -4.289 4.289
4.289 4.289 -4.289
Ge Pb
1 6
direct
0.000 0.000 0.000 Ge
0.250 0.500 0.750 Pb
0.250 0.750 0.500 Pb
0.500 0.250 0.750 Pb
0.500 0.750 0.250 Pb
0.750 0.250 0.500 Pb
0.750 0.500 0.250 Pb
```

---

# 2
Structure and computed X-ray diffraction stick pattern of Ge6Pb (a cell relaxed with GGA-PBE; Cu Kα X-rays).
Intensities are scaled so that the largest is 100.

Largest 10 diffraction maxima, by angle, 10 to 80 degrees two-theta:
Position (°2θ)	d [Å]	I/Imax
17.7	5.007	3.5
25.2	3.540	42.0
30.9	2.891	100.0
44.3	2.044	5.9
48.1	1.892	59.4
51.6	1.770	20.3
58.3	1.583	16.7
61.4	1.510	14.3
73.2	1.293	17.2
76.0	1.252	12.9

Structural model:
```
Ge6Pb
1.0
-3.540 3.540 3.540
3.540 -3.540 3.540
3.540 3.540 -3.540
Ge Pb
6 1
direct
0.250 0.500 0.750 Ge
0.250 0.750 0.500 Ge
0.500 0.250 0.750 Ge
0.500 0.750 0.250 Ge
0.750 0.250 0.500 Ge
0.750 0.500 0.250 Ge
0.000 0.000 0.000 Pb
```

---

# 3
Structure and computed X-ray diffraction stick pattern of GePd4Pb (a cell relaxed with GGA-PBE; Cu Kα X-rays).
Intensities are scaled so that the largest is 100.

Largest 10 diffraction maxima, by angle, 10 to 80 degrees two-theta:
Position (°2θ)	d [Å]	I/Imax
27.0	3.304	19.4
27.2	3.277	14.9
31.3	2.861	25.7
33.4	2.683	25.0
38.7	2.327	48.7
39.2	2.299	44.6
41.9	2.156	100.0
51.0	1.792	13.1
53.2	1.721	18.4
72.9	1.298	19.3

Structural model:
```
GePd4Pb
1.0
4.598 0.000 0.000
0.000 8.095 0.000
0.000 0.000 5.722
Ge Pd Pb
2 8 2
direct
0.000 0.000 0.000 Ge
0.500 0.000 0.500 Ge
0.000 0.154 0.390 Pd
0.000 0.300 0.904 Pd
0.000 0.700 0.096 Pd
0.000 0.846 0.610 Pd
0.500 0.154 0.110 Pd
0.500 0.300 0.596 Pd
0.500 0.700 0.404 Pd
0.500 0.846 0.890 Pd
0.000 0.500 0.500 Pb
0.500 0.500 0.000 Pb
```

---

# 4
Structure and computed X-ray diffraction stick pattern of PrGe2Pd7Pb2 (a cell relaxed with GGA-PBE; Cu Kα X-rays).
Intensities are scaled so that the largest is 100.

Largest 10 diffraction maxima, by angle, 10 to 80 degrees two-theta:
Position (°2θ)	d [Å]	I/Imax
27.3	3.265	29.3
30.8	2.901	26.9
31.5	2.837	100.0
33.8	2.649	56.4
35.0	2.563	95.5
36.3	2.472	78.4
43.9	2.062	72.6
44.1	2.053	28.8
44.7	2.026	37.7
74.6	1.273	27.2

Structural model:
```
PrGe2Pd7Pb2
1.0
2.937 -2.901 0.000
2.937 2.901 0.000
-2.029 0.000 14.171
Pr Ge Pd Pb
1 2 7 2
direct
0.000 0.000 0.000 Pr
0.411 0.411 0.746 Ge
0.589 0.589 0.254 Ge
0.056 0.555 0.156 Pd
0.370 0.370 0.572 Pd
0.445 0.944 0.844 Pd
0.500 0.500 0.000 Pd
0.555 0.056 0.156 Pd
0.630 0.630 0.428 Pd
0.944 0.445 0.844 Pd
0.110 0.110 0.382 Pb
0.890 0.890 0.618 Pb
```

---

# 5
Structure and computed X-ray diffraction stick pattern of Pm6Ge2Pb (a cell relaxed with GGA-PBE; Cu Kα X-rays).
Intensities are scaled so that the largest is 100.

Largest 10 diffraction maxima, by angle, 10 to 80 degrees two-theta:
Position (°2θ)	d [Å]	I/Imax
28.8	3.105	17.1
30.4	2.938	100.0
32.3	2.774	28.3
32.7	2.736	42.4
33.4	2.682	42.9
36.7	2.447	23.9
50.5	1.807	16.1
53.4	1.717	15.9
57.1	1.613	20.1
58.0	1.591	12.7

Structural model:
```
Pm6Ge2Pb
1.0
-4.894 5.047 5.357
4.894 -5.047 5.357
4.894 5.047 -5.357
Pm Ge Pb
12 4 2
direct
0.036 0.242 0.794 Pm
0.187 0.278 0.465 Pm
0.187 0.722 0.909 Pm
0.322 0.027 0.705 Pm
0.322 0.617 0.295 Pm
0.448 0.242 0.206 Pm
0.552 0.758 0.794 Pm
0.678 0.383 0.705 Pm
0.678 0.973 0.295 Pm
0.813 0.278 0.091 Pm
0.813 0.722 0.535 Pm
0.964 0.758 0.206 Pm
0.118 0.618 0.500 Ge
0.367 0.000 0.367 Ge
0.633 0.000 0.633 Ge
0.882 0.382 0.500 Ge
0.000 0.000 0.000 Pb
0.500 0.500 0.000 Pb
```

---

# 6
Structure and computed X-ray diffraction stick pattern of Pm12Ge7Pb (a cell relaxed with GGA-PBE; Cu Kα X-rays).
Intensities are scaled so that the largest is 100.

Largest 10 diffraction maxima, by angle, 10 to 80 degrees two-theta:
Position (°2θ)	d [Å]	I/Imax
25.8	3.457	100.0
28.3	3.156	46.1
30.6	2.922	85.1
32.8	2.733	41.1
40.4	2.232	47.1
48.6	1.875	52.0
51.5	1.774	46.2
59.8	1.546	19.0
73.5	1.289	39.2
74.7	1.271	16.4

Structural model:
```
Pm12Ge7Pb
1.0
-5.467 5.467 5.467
5.467 -5.467 5.467
5.467 5.467 -5.467
Pm Ge Pb
12 7 1
direct
0.120 0.304 0.816 Pm
0.184 0.488 0.304 Pm
0.184 0.880 0.696 Pm
0.304 0.184 0.488 Pm
0.304 0.816 0.120 Pm
0.488 0.304 0.184 Pm
0.512 0.696 0.816 Pm
0.696 0.184 0.880 Pm
0.696 0.816 0.512 Pm
0.816 0.120 0.304 Pm
0.816 0.512 0.696 Pm
0.880 0.696 0.184 Pm
0.000 0.000 0.500 Ge
0.000 0.500 0.000 Ge
0.000 0.500 0.500 Ge
0.500 0.000 0.000 Ge
0.500 0.000 0.500 Ge
0.500 0.500 0.000 Ge
0.500 0.500 0.500 Ge
0.000 0.000 0.000 Pb
```

---

# 7
Structure and computed X-ray diffraction stick pattern of Pm6GePb (a cell relaxed with GGA-PBE; Cu Kα X-rays).
Intensities are scaled so that the largest is 100.

Largest 10 diffraction maxima, by angle, 10 to 80 degrees two-theta:
Position (°2θ)	d [Å]	I/Imax
20.4	4.360	3.5
27.5	3.249	4.8
31.8	2.814	100.0
36.9	2.437	50.3
53.1	1.723	34.9
54.1	1.696	2.0
63.3	1.470	40.8
66.4	1.407	11.7
78.5	1.219	3.8
79.2	1.209	2.3

Structural model:
```
Pm6GePb
1.0
4.876 0.000 0.000
0.000 4.876 0.000
0.000 0.000 9.741
Pm Ge Pb
6 1 1
direct
0.000 0.000 0.000 Pm
0.000 0.000 0.500 Pm
0.000 0.500 0.239 Pm
0.000 0.500 0.761 Pm
0.500 0.000 0.239 Pm
0.500 0.000 0.761 Pm
0.500 0.500 0.000 Ge
0.500 0.500 0.500 Pb
```

---

# 8
Structure and computed X-ray diffraction stick pattern of Pm6Ge3Pb (a cell relaxed with GGA-PBE; Cu Kα X-rays).
Intensities are scaled so that the largest is 100.

Largest 10 diffraction maxima, by angle, 10 to 80 degrees two-theta:
Position (°2θ)	d [Å]	I/Imax
30.4	2.940	63.3
30.9	2.897	19.4
32.1	2.785	100.0
32.7	2.739	90.6
34.9	2.573	30.7
35.6	2.519	59.1
42.0	2.153	35.7
51.0	1.790	20.3
56.2	1.637	31.8
67.0	1.397	20.3

Structural model:
```
Pm6Ge3Pb
1.0
5.795 -5.594 0.000
5.795 5.594 0.000
0.000 0.000 8.611
Pm Ge Pb
12 6 2
direct
0.010 0.502 0.750 Pm
0.160 0.840 0.508 Pm
0.160 0.840 0.992 Pm
0.324 0.324 0.000 Pm
0.324 0.324 0.500 Pm
0.498 0.990 0.750 Pm
0.502 0.010 0.250 Pm
0.676 0.676 0.000 Pm
0.676 0.676 0.500 Pm
0.840 0.160 0.008 Pm
0.840 0.160 0.492 Pm
0.990 0.498 0.250 Pm
0.132 0.135 0.750 Ge
0.135 0.132 0.250 Ge
0.368 0.632 0.750 Ge
0.632 0.368 0.250 Ge
0.865 0.868 0.750 Ge
0.868 0.865 0.250 Ge
0.371 0.629 0.250 Pb
0.629 0.371 0.750 Pb
```

---

# 9
Structure and computed X-ray diffraction stick pattern of Pm5GePb3 (a cell relaxed with GGA-PBE; Cu Kα X-rays).
Intensities are scaled so that the largest is 100.

Largest 10 diffraction maxima, by angle, 10 to 80 degrees two-theta:
Position (°2θ)	d [Å]	I/Imax
26.7	3.338	20.1
31.4	2.849	100.0
32.2	2.778	69.6
32.6	2.743	98.7
41.3	2.184	25.5
46.5	1.952	23.1
50.2	1.818	33.0
55.0	1.668	19.7
62.3	1.491	15.8
65.2	1.431	18.6

Structural model:
```
Pm5GePb3
1.0
9.624 0.000 0.000
-4.812 8.335 0.000
0.000 0.000 6.677
Pm Ge Pb
10 2 6
direct
0.000 0.252 0.250 Pm
0.000 0.748 0.750 Pm
0.252 0.000 0.250 Pm
0.252 0.252 0.750 Pm
0.333 0.667 0.000 Pm
0.333 0.667 0.500 Pm
0.667 0.333 0.000 Pm
0.667 0.333 0.500 Pm
0.748 0.000 0.750 Pm
0.748 0.748 0.250 Pm
0.000 0.000 0.000 Ge
0.000 0.000 0.500 Ge
0.000 0.390 0.750 Pb
0.000 0.610 0.250 Pb
0.390 0.000 0.750 Pb
0.390 0.390 0.250 Pb
0.610 0.000 0.250 Pb
0.610 0.610 0.750 Pb
```

---

# 10
Structure and computed X-ray diffraction stick pattern of Pm6Ge2Pb3 (a cell relaxed with GGA-PBE; Cu Kα X-rays).
Intensities are scaled so that the largest is 100.

Largest 10 diffraction maxima, by angle, 10 to 80 degrees two-theta:
Position (°2θ)	d [Å]	I/Imax
22.7	3.911	19.3
23.9	3.730	40.6
29.9	2.985	56.4
31.5	2.842	91.2
32.4	2.765	100.0
44.7	2.029	38.2
46.4	1.955	37.0
55.5	1.656	19.7
57.2	1.611	34.4
77.1	1.237	16.8

Structural model:
```
Pm6Ge2Pb3
1.0
-2.765 2.765 12.413
2.765 -2.765 12.413
2.765 2.765 -12.413
Pm Ge Pb
6 2 3
direct
0.080 0.580 0.500 Pm
0.207 0.207 0.000 Pm
0.420 0.920 0.500 Pm
0.580 0.080 0.500 Pm
0.793 0.793 0.000 Pm
0.920 0.420 0.500 Pm
0.095 0.095 0.000 Ge
0.905 0.905 0.000 Ge
0.335 0.335 0.000 Pb
0.500 0.500 0.000 Pb
0.665 0.665 0.000 Pb
```

---

# 11
Structure and computed X-ray diffraction stick pattern of Pm3Ge2Pb (a cell relaxed with GGA-PBE; Cu Kα X-rays).
Intensities are scaled so that the largest is 100.

Largest 10 diffraction maxima, by angle, 10 to 80 degrees two-theta:
Position (°2θ)	d [Å]	I/Imax
26.2	3.401	100.0
27.2	3.275	13.2
36.0	2.493	99.9
38.7	2.325	75.7
47.4	1.920	17.7
48.6	1.874	19.2
53.9	1.701	30.5
62.8	1.480	13.7
68.3	1.373	28.1
72.0	1.311	23.5

Structural model:
```
Pm3Ge2Pb
1.0
4.028 2.325 6.350
-4.028 2.325 6.350
0.000 -4.651 6.350
Pm Ge Pb
6 4 2
direct
0.061 0.750 0.439 Pm
0.250 0.561 0.939 Pm
0.439 0.061 0.750 Pm
0.561 0.939 0.250 Pm
0.750 0.439 0.061 Pm
0.939 0.250 0.561 Pm
0.160 0.160 0.160 Ge
0.340 0.340 0.340 Ge
0.660 0.660 0.660 Ge
0.840 0.840 0.840 Ge
0.000 0.000 0.000 Pb
0.500 0.500 0.500 Pb
```

---

# 12
Structure and computed X-ray diffraction stick pattern of Pm7Ge3Pb (a cell relaxed with GGA-PBE; Cu Kα X-rays).
Intensities are scaled so that the largest is 100.

Largest 10 diffraction maxima, by angle, 10 to 80 degrees two-theta:
Position (°2θ)	d [Å]	I/Imax
26.5	3.366	24.4
28.6	3.125	100.0
31.0	2.884	20.1
31.6	2.829	25.0
32.0	2.799	58.3
32.4	2.767	26.1
33.0	2.714	33.5
42.8	2.111	22.2
44.0	2.059	26.1
44.2	2.048	27.9

Structural model:
```
Pm7Ge3Pb
1.0
4.456 -5.428 0.000
4.456 5.428 0.000
-1.917 0.000 6.873
Pm Ge Pb
7 3 1
direct
0.000 0.000 0.000 Pm
0.112 0.528 0.285 Pm
0.341 0.341 0.811 Pm
0.472 0.888 0.715 Pm
0.528 0.112 0.285 Pm
0.659 0.659 0.189 Pm
0.888 0.472 0.715 Pm
0.271 0.729 0.000 Ge
0.500 0.500 0.500 Ge
0.729 0.271 0.000 Ge
0.000 0.000 0.500 Pb
```

---

# 13
Structure and computed X-ray diffraction stick pattern of Pm8Ge5Pb (a cell relaxed with GGA-PBE; Cu Kα X-rays).
Intensities are scaled so that the largest is 100.

Largest 10 diffraction maxima, by angle, 10 to 80 degrees two-theta:
Position (°2θ)	d [Å]	I/Imax
27.4	3.253	12.6
30.7	2.910	100.0
36.5	2.460	61.2
46.3	1.962	9.5
48.5	1.879	16.2
50.5	1.806	20.4
50.6	1.803	10.3
62.1	1.494	15.9
65.7	1.421	8.7
75.9	1.254	9.8

Structural model:
```
Pm8Ge5Pb
1.0
-4.607 4.607 4.592
4.607 -4.607 4.592
4.607 4.607 -4.592
Pm Ge Pb
8 5 1
direct
0.126 0.249 0.748 Pm
0.130 0.736 0.742 Pm
0.264 0.006 0.393 Pm
0.502 0.379 0.252 Pm
0.612 0.870 0.607 Pm
0.621 0.874 0.123 Pm
0.751 0.498 0.877 Pm
0.994 0.388 0.258 Pm
0.248 0.624 0.124 Ge
0.376 0.500 0.624 Ge
0.500 0.124 0.876 Ge
0.750 0.250 0.500 Ge
0.876 0.752 0.376 Ge
0.000 0.000 0.000 Pb
```